Structure and simulated X-ray powder pattern of TbV2CrO8 (a GGA+U-relaxed structure; CuKα).
Kinematic intensities with the Lorentz-polarization factor, no thermal factor.

Structure:
a b c (Å): 5.7527 5.7527 5.9511
angles (deg): 90.00 90.00 120.00
Space group P-3m1 (No. 164)
Inequivalent atoms, fractional coordinates:
Tb  0.0000  0.0000  0.0000
V  0.3333  0.6667  0.6387
Cr  0.0000  0.0000  0.5000
O  0.1588  0.3175  0.7217
O  0.3333  0.6667  0.3666

Main lines, by angle (2θ from 10° to 90°):
two_theta, I/Imax, index
17.80, 100.0, 1 0 0
23.29, 98.0, 1 0 1
31.09, 90.7, 1 1 0
35.13, 59.2, 0 1 2
43.77, 34.2, 1 1 2
47.61, 38.8, 2 0 2